CsSe2O6: theoretical PXRD pattern (copper Kα), based on a structure optimized by DFT (GGA-PBE).
No peak broadening, texture or thermal motion is included.

abc: 6.0529 6.2675 10.2921
angles: 85.80 75.91 86.53
Element x y z (fractional)
Cs 0.0390 0.2544 0.3348
Cs 0.9610 0.7456 0.6652
Se 0.3028 0.7429 0.9918
Se 0.4147 0.2502 0.6751
Se 0.5853 0.7498 0.3249
Se 0.6972 0.2571 0.0082
O 0.1516 0.2434 0.6527
O 0.1762 0.8861 0.8863
O 0.2272 0.4891 0.0225
O 0.3278 0.8697 0.1235
O 0.4087 0.9416 0.3981
O 0.4886 0.5028 0.3511
O 0.5114 0.4972 0.6489
O 0.5913 0.0584 0.6019
O 0.6722 0.1303 0.8765
O 0.7728 0.5109 0.9775
O 0.8238 0.1139 0.1137
O 0.8484 0.7566 0.3473

Principal peaks in the range 2θ = 10–80°, sorted by position:
| (hkl) | d_spacing | intensity |
| --- | --- | --- |
| 1 1 -1 | 3.716 | 100.0 |
| -1 1 1 | 3.689 | 52.3 |
| 1 -1 2 | 3.433 | 35.3 |
| 0 0 3 | 3.321 | 46.0 |
| 0 2 0 | 3.122 | 25.0 |
| 2 0 1 | 3.016 | 24.2 |
| 0 2 3 | 2.347 | 13.6 |
| 1 3 -1 | 1.899 | 13.0 |